# 1
Structure and theoretical powder diffraction line list of Ca4P6O19 (a cell relaxed with GGA-PBE; a wavelength of 1.5418 Å).
Kinematic intensities with the Lorentz-polarization factor, no thermal factor.

Top 10 peaks for 2θ = 10–90°, in order of rising 2θ:
2θ/deg	Rel. int.
18.4	34
22.9	32
24.0	37
28.4	34
28.6	80
29.1	46
29.7	100
31.0	32
31.2	46
35.0	33

Crystal structure
a = 6.9537 Å, b = 9.2738 Å, c = 12.9932 Å
α = 109.51°, β = 99.84°, γ = 91.87°
Fractional positions:
Ca (0.0273, 0.1822, 0.1477)
Ca (0.0984, 0.6492, 0.3333)
Ca (0.1918, 0.0072, 0.6336)
Ca (0.3553, 0.8684, 0.1219)
Ca (0.6447, 0.1316, 0.8781)
Ca (0.8082, 0.9928, 0.3664)
Ca (0.9016, 0.3508, 0.6667)
Ca (0.9727, 0.8178, 0.8523)
P (0.1255, 0.1886, 0.8804)
P (0.2047, 0.6292, 0.6211)
P (0.2701, 0.0529, 0.3748)
P (0.2878, 0.4601, 0.0935)
P (0.3732, 0.3299, 0.5830)
P (0.4636, 0.7600, 0.8486)
P (0.5364, 0.2400, 0.1514)
P (0.6268, 0.6701, 0.4170)
P (0.7122, 0.5399, 0.9065)
P (0.7299, 0.9471, 0.6252)
P (0.7953, 0.3708, 0.3789)
P (0.8745, 0.8114, 0.1196)
O (0.0027, 0.1170, 0.9432)
O (0.0053, 0.7691, 0.2088)
O (0.0484, 0.5912, 0.6777)
O (0.1080, 0.0956, 0.2978)
O (0.1298, 0.4301, 0.1525)
O (0.1614, 0.7222, 0.5460)
O (0.1781, 0.9672, 0.4407)
O (0.2193, 0.2661, 0.6301)
O (0.2462, 0.3479, 0.9674)
O (0.2870, 0.0904, 0.8353)
O (0.2923, 0.4773, 0.5523)
O (0.3062, 0.8131, 0.9158)
O (0.3386, 0.6180, 0.0958)
O (0.3526, 0.1321, 0.1219)
O (0.3863, 0.2156, 0.4629)
O (0.3866, 0.7277, 0.7183)
O (0.4238, 0.6235, 0.3509)
O (0.4342, 0.9742, 0.3191)
O (0.4912, 0.4041, 0.1449)
O (0.5088, 0.5959, 0.8551)
O (0.5658, 0.0258, 0.6809)
O (0.5762, 0.3765, 0.6491)
O (0.6134, 0.2723, 0.2817)
O (0.6137, 0.7844, 0.5371)
O (0.6474, 0.8679, 0.8781)
O (0.6614, 0.3820, 0.9042)
O (0.6938, 0.1869, 0.0842)
O (0.7077, 0.5227, 0.4477)
O (0.7130, 0.9096, 0.1647)
O (0.7538, 0.6521, 0.0326)
O (0.7807, 0.7339, 0.3699)
O (0.8219, 0.0328, 0.5593)
O (0.8386, 0.2778, 0.4540)
O (0.8702, 0.5699, 0.8475)
O (0.8920, 0.9044, 0.7022)
O (0.9516, 0.4088, 0.3223)
O (0.9947, 0.2309, 0.7912)
O (0.9973, 0.8830, 0.0568)


# 2
Structure and theoretical powder diffraction line list of Co3Sn2 (a cell relaxed with GGA-PBE; a wavelength of 1.5418 Å).
Kinematic intensities with the Lorentz-polarization factor, no thermal factor.

Top 10 peaks for 2θ = 10–90°, in order of rising 2θ:
2θ/deg	Rel. int.
30.1	72
42.8	100
43.5	82
53.3	16
56.8	17
60.4	11
62.7	27
70.6	14
78.5	17
78.9	27

Crystal structure
a = 4.2230 Å, b = 4.2230 Å, c = 5.0669 Å
α = 90.00°, β = 90.00°, γ = 120.00°
Fractional positions:
Co (0.0000, 0.0000, 0.0000)
Co (0.3333, 0.6667, 0.2536)
Co (0.3333, 0.6667, 0.7464)
Sn (0.0000, 0.0000, 0.5000)
Sn (0.6667, 0.3333, 0.0000)


# 3
Structure and theoretical powder diffraction line list of Ca3AsBr3 (a cell relaxed with GGA-PBE; a wavelength of 1.5418 Å).
Kinematic intensities with the Lorentz-polarization factor, no thermal factor.

Top 10 peaks for 2θ = 10–90°, in order of rising 2θ:
2θ/deg	Rel. int.
25.9	36
30.0	100
42.9	72
50.8	18
53.2	25
62.2	11
68.6	7
70.6	31
78.6	23
84.4	6

Crystal structure
a = 5.9659 Å, b = 5.9659 Å, c = 5.9659 Å
α = 90.00°, β = 90.00°, γ = 90.00°
Fractional positions:
Ca (0.0000, 0.0000, 0.5000)
Ca (0.0000, 0.5000, 0.0000)
Ca (0.5000, 0.0000, 0.0000)
As (0.0000, 0.0000, 0.0000)
Br (0.0000, 0.5000, 0.5000)
Br (0.5000, 0.0000, 0.5000)
Br (0.5000, 0.5000, 0.0000)


# 4
Structure and theoretical powder diffraction line list of Na3LiP2O7 (a cell relaxed with GGA-PBE; a wavelength of 1.5418 Å).
Kinematic intensities with the Lorentz-polarization factor, no thermal factor.

Top 10 peaks for 2θ = 10–90°, in order of rising 2θ:
2θ/deg	Rel. int.
19.2	25
20.0	48
20.5	26
23.5	53
28.6	66
28.7	32
33.2	100
34.5	51
41.0	28
43.8	49

Crystal structure
a = 5.3932 Å, b = 5.3932 Å, c = 12.4212 Å
α = 90.00°, β = 90.00°, γ = 117.94°
Fractional positions:
Na (0.0474, 0.7024, 0.6188)
Na (0.2976, 0.9526, 0.8812)
Na (0.3499, 0.3499, 0.5000)
Na (0.6501, 0.6501, 0.0000)
Na (0.7024, 0.0474, 0.3812)
Na (0.9526, 0.2976, 0.1188)
Li (0.4627, 0.5373, 0.2500)
Li (0.5373, 0.4627, 0.7500)
P (0.0284, 0.6904, 0.3515)
P (0.3096, 0.9716, 0.1485)
P (0.6904, 0.0284, 0.6485)
P (0.9716, 0.3096, 0.8515)
O (0.0930, 0.9070, 0.2500)
O (0.0942, 0.4559, 0.3140)
O (0.1310, 0.7820, 0.0569)
O (0.2180, 0.8690, 0.4431)
O (0.2864, 0.4147, 0.8717)
O (0.4147, 0.2864, 0.1283)
O (0.4559, 0.0942, 0.6860)
O (0.5441, 0.9058, 0.1860)
O (0.5853, 0.7136, 0.6283)
O (0.7136, 0.5853, 0.3717)
O (0.7820, 0.1310, 0.9431)
O (0.8690, 0.2180, 0.5569)
O (0.9058, 0.5441, 0.8140)
O (0.9070, 0.0930, 0.7500)


# 5
Structure and theoretical powder diffraction line list of Lu2MgSe4 (a cell relaxed with GGA-PBE; a wavelength of 1.5418 Å).
Kinematic intensities with the Lorentz-polarization factor, no thermal factor.

Top 10 peaks for 2θ = 10–90°, in order of rising 2θ:
2θ/deg	Rel. int.
14.5	39
20.9	30
25.1	37
25.5	29
32.3	55
33.2	56
33.3	100
38.8	79
39.5	45
49.6	30

Crystal structure
a = 7.4559 Å, b = 7.4559 Å, c = 7.4559 Å
α = 110.31°, β = 110.31°, γ = 107.81°
Fractional positions:
Lu (0.0069, 0.6250, 0.8819)
Lu (0.3750, 0.2569, 0.3819)
Lu (0.7431, 0.1250, 0.1181)
Lu (0.8750, 0.9931, 0.6181)
Mg (0.2500, 0.7500, 0.5000)
Mg (0.5000, 0.5000, 0.0000)
Se (0.0088, 0.8795, 0.2598)
Se (0.1205, 0.3803, 0.1293)
Se (0.1303, 0.3705, 0.6293)
Se (0.2510, 0.9912, 0.8707)
Se (0.4990, 0.8697, 0.2402)
Se (0.6197, 0.7490, 0.7402)
Se (0.6295, 0.2588, 0.7598)
Se (0.7412, 0.5010, 0.3707)


# 6
Structure and theoretical powder diffraction line list of ZnSb2O4 (a cell relaxed with GGA-PBE; a wavelength of 1.5418 Å).
Kinematic intensities with the Lorentz-polarization factor, no thermal factor.

Top 10 peaks for 2θ = 10–90°, in order of rising 2θ:
2θ/deg	Rel. int.
25.1	52
25.4	38
25.6	44
26.0	32
28.3	80
29.5	58
30.1	30
31.1	48
31.3	100
31.9	46

Crystal structure
a = 6.5231 Å, b = 7.1805 Å, c = 17.1385 Å
α = 89.19°, β = 88.83°, γ = 63.08°
Fractional positions:
Zn (0.0000, 0.0000, 0.0000)
Zn (0.0288, 0.7274, 0.5869)
Zn (0.1500, 0.7635, 0.1556)
Zn (0.2645, 0.3860, 0.2957)
Zn (0.5457, 0.7214, 0.6689)
Zn (0.8701, 0.1886, 0.8434)
Sb (0.0602, 0.2405, 0.6748)
Sb (0.1060, 0.5819, 0.8022)
Sb (0.2076, 0.9206, 0.3300)
Sb (0.4108, 0.0796, 0.1304)
Sb (0.4447, 0.9441, 0.8614)
Sb (0.4742, 0.5126, 0.9677)
Sb (0.4779, 0.8477, 0.4994)
Sb (0.5581, 0.2542, 0.6805)
Sb (0.7354, 0.4133, 0.2212)
Sb (0.7394, 0.2803, 0.4449)
Sb (0.7687, 0.8441, 0.3259)
Sb (0.9478, 0.5215, 0.0376)
O (0.0134, 0.8044, 0.4000)
O (0.0249, 0.2040, 0.3805)
O (0.0528, 0.3229, 0.7893)
O (0.1015, 0.5107, 0.6654)
O (0.1482, 0.9470, 0.8946)
O (0.1791, 0.9979, 0.0938)
O (0.2273, 0.4746, 0.9131)
O (0.2284, 0.3820, 0.1029)
O (0.2953, 0.1233, 0.2408)
O (0.3051, 0.7616, 0.5776)
O (0.3857, 0.5844, 0.2349)
O (0.4215, 0.9268, 0.7470)
O (0.4395, 0.4462, 0.7705)
O (0.5520, 0.2749, 0.3575)
O (0.6096, 0.6377, 0.8879)
O (0.6720, 0.5826, 0.4446)
O (0.6999, 0.8273, 0.5810)
O (0.7125, 0.5774, 0.1251)
O (0.7214, 0.4253, 0.6430)
O (0.7243, 0.2252, 0.9466)
O (0.8561, 0.0938, 0.7363)
O (0.9199, 0.5575, 0.2744)
O (0.9581, 0.7843, 0.0617)
O (0.9610, 0.9365, 0.2521)


# 7
Structure and theoretical powder diffraction line list of CsAg5Te3 (a cell relaxed with GGA-PBE; a wavelength of 1.5418 Å).
Kinematic intensities with the Lorentz-polarization factor, no thermal factor.

Top 10 peaks for 2θ = 10–90°, in order of rising 2θ:
2θ/deg	Rel. int.
23.9	47
25.5	29
26.9	30
31.3	50
35.7	100
36.3	29
38.7	60
42.9	38
43.0	50
59.1	31

Crystal structure
a = 14.9188 Å, b = 14.9188 Å, c = 4.6545 Å
α = 90.00°, β = 90.00°, γ = 90.00°
Fractional positions:
Cs (0.1125, 0.1125, 0.0000)
Cs (0.3875, 0.6125, 0.5000)
Cs (0.6125, 0.3875, 0.5000)
Cs (0.8875, 0.8875, 0.0000)
Ag (0.0173, 0.3961, 0.0000)
Ag (0.0794, 0.7124, 0.5000)
Ag (0.1039, 0.5173, 0.5000)
Ag (0.1782, 0.8218, 0.0000)
Ag (0.2124, 0.4206, 0.0000)
Ag (0.2876, 0.9206, 0.5000)
Ag (0.3218, 0.3218, 0.5000)
Ag (0.3961, 0.0173, 0.0000)
Ag (0.4206, 0.2124, 0.0000)
Ag (0.4827, 0.8961, 0.5000)
Ag (0.5173, 0.1039, 0.5000)
Ag (0.5794, 0.7876, 0.0000)
Ag (0.6039, 0.9827, 0.0000)
Ag (0.6782, 0.6782, 0.5000)
Ag (0.7124, 0.0794, 0.5000)
Ag (0.7876, 0.5794, 0.0000)
Ag (0.8218, 0.1782, 0.0000)
Ag (0.8961, 0.4827, 0.5000)
Ag (0.9206, 0.2876, 0.5000)
Ag (0.9827, 0.6039, 0.0000)
Te (0.1016, 0.8984, 0.5000)
Te (0.1170, 0.3286, 0.5000)
Te (0.1714, 0.6170, 0.0000)
Te (0.3286, 0.1170, 0.5000)
Te (0.3830, 0.8286, 0.0000)
Te (0.3984, 0.3984, 0.0000)
Te (0.6016, 0.6016, 0.0000)
Te (0.6170, 0.1714, 0.0000)
Te (0.6714, 0.8830, 0.5000)
Te (0.8286, 0.3830, 0.0000)
Te (0.8830, 0.6714, 0.5000)
Te (0.8984, 0.1016, 0.5000)